No. 1
Computed X-ray diffraction stick pattern of Th2Zr3Si4 for Cu Kα X-rays, from a GGA-PBE-relaxed structure.
Peak positions follow from Bragg's law for the DFT cell and can differ from measured ones.

Structural model:
```
18
Lattice="7.437 0.000 0.000 0.000 7.435 0.000 -2.332 0.000 6.880" Properties=species:S:1:pos:R:3 pbc="T T T"
Th 1.259 1.273 0.475
Th 0.092 2.445 3.915
Th 5.012 4.991 2.965
Th 3.846 6.162 6.405
Zr 1.293 5.015 1.710
Zr 0.127 6.138 5.150
Zr 2.552 0.000 3.440
Zr 3.719 3.718 0.000
Zr 4.978 1.297 1.730
Zr 3.812 2.421 5.170
Si -1.397 3.989 5.982
Si -0.231 7.164 2.542
Si 1.655 0.925 6.002
Si 2.821 2.793 2.562
Si 2.283 4.643 4.318
Si 3.450 6.510 0.878
Si 5.336 0.271 4.338
Si 6.502 3.446 0.898
```

Main lines, most intense first (2θ = 10–90°):
- 2θ = 34.46°, 2.603 Å, I = 100.0
- 2θ = 34.65°, 2.588 Å, I = 99.8
- 2θ = 38.61°, 2.332 Å, I = 72.9
- 2θ = 32.30°, 2.771 Å, I = 66.8
- 2θ = 31.88°, 2.807 Å, I = 64.9
- 2θ = 17.34°, 5.113 Å, I = 58.8
- 2θ = 39.12°, 2.302 Å, I = 50.5
- 2θ = 35.10°, 2.557 Å, I = 50.4
- 2θ = 27.26°, 3.271 Å, I = 45.0
- 2θ = 34.81°, 2.578 Å, I = 39.6

***

No. 2
Computed X-ray diffraction stick pattern of Nd5Sm2Tm5 for Cu Kα X-rays, from a GGA-PBE-relaxed structure.
Peak positions follow from Bragg's law for the DFT cell and can differ from measured ones.

Structural model:
```
12
Lattice="5.917 -2.846 0.000 5.917 2.846 0.000 -4.129 0.000 11.732" Properties=species:S:1:pos:R:3 pbc="T T T"
Nd 0.000 0.000 0.000
Nd 0.176 0.000 5.369
Nd 2.198 0.000 2.618
Nd 5.507 0.000 9.114
Nd 7.529 0.000 6.363
Sm -1.791 0.000 8.370
Sm 9.496 0.000 3.361
Tm -0.274 0.000 11.430
Tm 1.911 0.000 8.819
Tm 3.852 0.000 5.866
Tm 5.794 0.000 2.913
Tm 7.978 0.000 0.301
```

Main lines, most intense first (2θ = 10–90°):
- 2θ = 31.39°, 2.850 Å, I = 100.0
- 2θ = 31.71°, 2.822 Å, I = 79.1
- 2θ = 30.49°, 2.932 Å, I = 30.7
- 2θ = 44.35°, 2.043 Å, I = 20.9
- 2θ = 32.89°, 2.723 Å, I = 19.9
- 2θ = 46.00°, 1.973 Å, I = 16.3
- 2θ = 56.13°, 1.639 Å, I = 15.9
- 2θ = 56.82°, 1.620 Å, I = 14.7
- 2θ = 55.91°, 1.645 Å, I = 11.3
- 2θ = 55.17°, 1.665 Å, I = 8.9

***

No. 3
Computed X-ray diffraction stick pattern of Gd2Zr2O7 for Cu Kα X-rays, from a GGA-PBE-relaxed structure.
Peak positions follow from Bragg's law for the DFT cell and can differ from measured ones.

Structural model:
```
44
Lattice="7.583 0.000 0.000 0.000 7.560 0.000 0.000 0.000 10.592" Properties=species:S:1:pos:R:3 pbc="T T T"
Gd 0.000 0.000 0.000
Gd 0.000 3.780 5.296
Gd 1.896 1.808 2.648
Gd 1.896 5.753 7.944
Gd 3.792 0.000 5.296
Gd 3.792 3.780 0.000
Gd 5.687 1.808 2.648
Gd 5.687 5.753 7.944
Zr 0.000 0.000 5.296
Zr 0.000 3.780 0.000
Zr 1.896 1.849 7.944
Zr 1.896 5.711 2.648
Zr 3.792 0.000 0.000
Zr 3.792 3.780 5.296
Zr 5.687 1.849 7.944
Zr 5.687 5.711 2.648
O 0.000 1.826 4.124
O 0.000 1.887 7.071
O 0.000 1.961 1.138
O 0.000 5.600 9.454
O 0.000 5.673 3.521
O 0.000 5.734 6.468
O 1.612 3.373 9.317
O 1.612 4.187 1.275
O 1.893 0.162 6.597
O 1.899 0.162 9.291
O 1.899 7.398 1.301
O 1.893 7.398 3.995
O 2.180 3.373 6.572
O 2.180 4.187 4.021
O 3.792 1.826 1.172
O 3.792 1.887 8.817
O 3.792 1.961 4.158
O 3.792 5.600 6.434
O 3.792 5.673 1.775
O 3.792 5.734 9.420
O 5.403 3.373 6.572
O 5.403 4.187 4.021
O 5.691 0.162 6.597
O 5.684 0.162 9.291
O 5.684 7.398 1.301
O 5.691 7.398 3.995
O 5.971 3.373 9.317
O 5.971 4.187 1.275
```

Main lines, most intense first (2θ = 10–90°):
- 2θ = 28.99°, 3.080 Å, I = 100.0
- 2θ = 48.35°, 1.883 Å, I = 32.8
- 2θ = 33.47°, 2.677 Å, I = 20.9
- 2θ = 57.06°, 1.614 Å, I = 14.8
- 2θ = 57.61°, 1.600 Å, I = 14.2
- 2θ = 57.17°, 1.611 Å, I = 14.1
- 2θ = 78.23°, 1.222 Å, I = 11.3
- 2θ = 33.85°, 2.648 Å, I = 10.3
- 2θ = 47.99°, 1.896 Å, I = 8.7
- 2θ = 48.14°, 1.890 Å, I = 8.0

***

No. 4
Computed X-ray diffraction stick pattern of CdGaBrCl4 for Cu Kα X-rays, from a GGA-PBE-relaxed structure.
Peak positions follow from Bragg's law for the DFT cell and can differ from measured ones.

Structural model:
```
14
Lattice="7.813 -3.637 0.000 7.813 3.637 0.000 -1.120 0.000 9.699" Properties=species:S:1:pos:R:3 pbc="T T T"
Cd 1.431 0.000 1.022
Cd 13.075 0.000 8.677
Ga 4.905 0.000 6.953
Ga 9.600 0.000 2.746
Br 0.005 0.000 8.069
Br 14.501 0.000 1.631
Cl 3.737 1.742 7.912
Cl 4.611 0.000 4.854
Cl 10.769 1.742 1.787
Cl 6.899 0.000 7.770
Cl 7.606 0.000 1.929
Cl 3.737 -1.742 7.912
Cl 9.895 0.000 4.845
Cl 10.769 -1.742 1.787
```

Main lines, most intense first (2θ = 10–90°):
- 2θ = 13.77°, 6.431 Å, I = 100.0
- 2θ = 16.63°, 5.330 Å, I = 99.0
- 2θ = 24.47°, 3.637 Å, I = 49.6
- 2θ = 31.38°, 2.851 Å, I = 48.9
- 2θ = 43.05°, 2.101 Å, I = 37.2
- 2θ = 22.21°, 4.003 Å, I = 35.7
- 2θ = 47.63°, 1.909 Å, I = 29.4
- 2θ = 27.07°, 3.294 Å, I = 28.9
- 2θ = 28.19°, 3.166 Å, I = 26.5
- 2θ = 15.89°, 5.577 Å, I = 25.9

***

No. 5
Computed X-ray diffraction stick pattern of Sm2CdPt for Cu Kα X-rays, from a GGA-PBE-relaxed structure.
Peak positions follow from Bragg's law for the DFT cell and can differ from measured ones.

Structural model:
```
8
Lattice="7.297 0.000 0.000 0.000 3.674 0.000 0.000 0.000 7.505" Properties=species:S:1:pos:R:3 pbc="T T T"
Sm 0.048 0.000 1.684
Sm 3.600 0.000 1.684
Sm 3.697 0.000 5.821
Sm 7.248 0.000 5.821
Cd 1.824 1.837 3.859
Cd 5.472 1.837 3.646
Pt 1.824 1.837 7.258
Pt 5.472 1.837 0.247
```

Main lines, most intense first (2θ = 10–90°):
- 2θ = 34.65°, 2.589 Å, I = 100.0
- 2θ = 34.15°, 2.625 Å, I = 93.1
- 2θ = 34.28°, 2.616 Å, I = 91.9
- 2θ = 61.70°, 1.503 Å, I = 33.5
- 2θ = 61.95°, 1.498 Å, I = 32.7
- 2θ = 11.79°, 7.505 Å, I = 24.5
- 2θ = 60.99°, 1.519 Å, I = 24.0
- 2θ = 49.62°, 1.837 Å, I = 18.2
- 2θ = 50.00°, 1.824 Å, I = 17.5
- 2θ = 48.52°, 1.876 Å, I = 12.0

***

No. 6
Computed X-ray diffraction stick pattern of Na2BiCl4 for Cu Kα X-rays, from a GGA-PBE-relaxed structure.
Peak positions follow from Bragg's law for the DFT cell and can differ from measured ones.

Structural model:
```
7
Lattice="-3.907 3.907 3.812 3.907 -3.907 3.812 3.907 3.907 -3.812" Properties=species:S:1:pos:R:3 pbc="T T T"
Na 3.907 0.000 1.906
Na 0.000 3.907 1.906
Bi 0.000 0.000 0.000
Cl 5.400 1.304 0.000
Cl 1.304 2.415 0.000
Cl 2.604 1.492 3.812
Cl -1.492 2.604 3.812
```

Main lines, most intense first (2θ = 10–90°):
- 2θ = 16.24°, 5.457 Å, I = 100.0
- 2θ = 28.09°, 3.177 Å, I = 56.4
- 2θ = 43.65°, 2.074 Å, I = 35.4
- 2θ = 28.45°, 3.138 Å, I = 30.0
- 2θ = 36.40°, 2.468 Å, I = 26.2
- 2θ = 23.34°, 3.812 Å, I = 22.2
- 2θ = 32.40°, 2.763 Å, I = 19.7
- 2θ = 43.40°, 2.085 Å, I = 19.4
- 2θ = 16.04°, 5.526 Å, I = 17.1
- 2θ = 44.06°, 2.055 Å, I = 16.7

***

No. 7
Computed X-ray diffraction stick pattern of Ge5Pb3Br16 for Cu Kα X-rays, from a GGA-PBE-relaxed structure.
Peak positions follow from Bragg's law for the DFT cell and can differ from measured ones.

Structural model:
```
24
Lattice="7.590 -4.233 0.000 7.590 4.233 0.000 -0.182 0.000 13.412" Properties=species:S:1:pos:R:3 pbc="T T T"
Ge 0.000 0.000 0.000
Ge 8.753 2.204 6.816
Ge 7.995 0.000 3.334
Ge 12.481 0.000 9.941
Ge 8.753 -2.204 6.816
Pb 3.928 2.104 0.257
Pb 5.179 0.000 6.915
Pb 3.928 -2.104 0.257
Br 0.140 0.000 8.344
Br 6.349 2.324 11.939
Br 2.185 0.000 11.972
Br 2.340 0.000 5.311
Br 6.653 2.129 5.252
Br 5.083 0.000 1.981
Br 8.962 1.989 1.878
Br 7.652 0.000 8.472
Br 11.423 2.008 8.551
Br 9.947 0.000 5.081
Br 6.653 -2.129 5.252
Br 10.380 0.000 11.529
Br 6.349 -2.324 11.939
Br 8.962 -1.989 1.878
Br 12.850 0.000 1.883
Br 11.423 -2.008 8.551
```

Main lines, most intense first (2θ = 10–90°):
- 2θ = 41.59°, 2.171 Å, I = 100.0
- 2θ = 27.63°, 3.228 Å, I = 88.6
- 2θ = 13.20°, 6.706 Å, I = 82.0
- 2θ = 31.30°, 2.858 Å, I = 70.7
- 2θ = 31.51°, 2.840 Å, I = 67.0
- 2θ = 13.68°, 6.471 Å, I = 60.9
- 2θ = 41.47°, 2.177 Å, I = 57.1
- 2θ = 27.47°, 3.246 Å, I = 56.3
- 2θ = 42.72°, 2.116 Å, I = 50.3
- 2θ = 26.84°, 3.322 Å, I = 50.0

***

No. 8
Computed X-ray diffraction stick pattern of Ac4Pm6Ho for Cu Kα X-rays, from a GGA-PBE-relaxed structure.
Peak positions follow from Bragg's law for the DFT cell and can differ from measured ones.

Structural model:
```
11
Lattice="-3.578 3.578 8.369 3.578 -3.578 8.369 3.578 3.578 -8.369" Properties=species:S:1:pos:R:3 pbc="T T T"
Ac 2.185 -2.185 5.364
Ac 1.393 1.393 3.006
Ac -2.185 2.185 5.364
Ac 2.185 2.185 11.375
Pm 3.578 0.000 0.000
Pm 2.364 2.364 -1.706
Pm 1.214 -1.214 10.075
Pm 0.000 3.578 0.000
Pm 1.214 1.214 6.664
Pm -1.214 1.214 10.075
Ho 0.000 0.000 0.000
```

Main lines, most intense first (2θ = 10–90°):
- 2θ = 27.66°, 3.225 Å, I = 100.0
- 2θ = 28.39°, 3.144 Å, I = 99.9
- 2θ = 27.10°, 3.290 Å, I = 61.1
- 2θ = 32.93°, 2.720 Å, I = 42.6
- 2θ = 29.46°, 3.032 Å, I = 36.9
- 2θ = 53.04°, 1.727 Å, I = 34.5
- 2θ = 35.48°, 2.530 Å, I = 31.4
- 2θ = 53.68°, 1.707 Å, I = 27.4
- 2θ = 46.76°, 1.943 Å, I = 23.8
- 2θ = 32.24°, 2.776 Å, I = 23.7

***

No. 9
Computed X-ray diffraction stick pattern of LaH4S2NO8 for Cu Kα X-rays, from a GGA-PBE-relaxed structure.
Peak positions follow from Bragg's law for the DFT cell and can differ from measured ones.

Structural model:
```
32
Lattice="7.164 0.000 0.000 0.000 5.556 0.000 -1.530 0.000 9.292" Properties=species:S:1:pos:R:3 pbc="T T T"
La 0.982 1.389 2.557
La 4.653 4.167 6.735
H 0.012 1.389 7.574
H 1.189 1.389 6.357
H 1.494 0.558 7.781
H 1.494 2.220 7.781
H 4.140 3.337 1.511
H 4.140 4.998 1.511
H 4.446 4.167 2.935
H 5.623 4.167 1.718
S 1.239 4.167 0.693
S 1.105 4.167 5.242
S 4.529 1.389 4.050
S 4.396 1.389 8.599
N 1.039 1.389 7.376
N 4.595 4.167 1.916
O -0.924 4.167 8.655
O 0.220 4.167 1.800
O -0.248 4.167 5.853
O 1.269 2.942 4.418
O 1.269 5.393 4.418
O 2.083 2.944 0.859
O 2.083 5.390 0.859
O 2.119 4.167 6.332
O 3.515 1.389 2.960
O 3.551 0.166 8.434
O 3.551 2.612 8.434
O 4.365 0.164 4.874
O 4.365 2.614 4.874
O 5.883 1.389 3.439
O 5.414 1.389 7.493
O 6.559 1.389 0.637
```

Main lines, most intense first (2θ = 10–90°):
- 2θ = 14.46°, 6.126 Å, I = 100.0
- 2θ = 18.61°, 4.769 Å, I = 88.8
- 2θ = 29.44°, 3.034 Å, I = 68.3
- 2θ = 26.57°, 3.355 Å, I = 64.1
- 2θ = 24.98°, 3.564 Å, I = 52.2
- 2θ = 25.20°, 3.534 Å, I = 49.9
- 2θ = 16.95°, 5.231 Å, I = 35.6
- 2θ = 32.22°, 2.778 Å, I = 35.2
- 2θ = 33.41°, 2.682 Å, I = 34.2
- 2θ = 25.47°, 3.498 Å, I = 26.1

***

No. 10
Computed X-ray diffraction stick pattern of Ce7Ge5Ir for Cu Kα X-rays, from a GGA-PBE-relaxed structure.
Peak positions follow from Bragg's law for the DFT cell and can differ from measured ones.

Structural model:
```
13
Lattice="-3.138 5.403 4.960 3.138 -5.403 4.960 3.138 5.403 -4.960" Properties=species:S:1:pos:R:3 pbc="T T T"
Ce 0.000 0.000 0.000
Ce 3.138 -2.390 2.319
Ce 3.138 2.390 2.319
Ce 0.000 0.000 4.586
Ce 0.000 3.654 1.607
Ce 0.000 7.152 1.607
Ce 0.000 5.403 3.674
Ge 1.846 2.538 -0.414
Ge 4.430 2.538 -0.414
Ge 3.138 0.000 4.070
Ge -1.292 2.865 4.546
Ge 1.292 2.865 4.546
Ir 0.000 0.000 7.280
```

Main lines, most intense first (2θ = 10–90°):
- 2θ = 12.11°, 7.308 Å, I = 100.0
- 2θ = 37.79°, 2.381 Å, I = 97.8
- 2θ = 28.44°, 3.138 Å, I = 74.9
- 2θ = 28.57°, 3.124 Å, I = 74.5
- 2θ = 33.16°, 2.701 Å, I = 52.4
- 2θ = 30.56°, 2.926 Å, I = 52.4
- 2θ = 39.97°, 2.256 Å, I = 51.5
- 2θ = 46.76°, 1.943 Å, I = 46.4
- 2θ = 33.91°, 2.643 Å, I = 46.3
- 2θ = 36.22°, 2.480 Å, I = 36.1

***

No. 11
Computed X-ray diffraction stick pattern of Ce2MnReN6 for Cu Kα X-rays, from a GGA-PBE-relaxed structure.
Peak positions follow from Bragg's law for the DFT cell and can differ from measured ones.

Structural model:
```
20
Lattice="5.426 0.000 0.000 0.000 5.515 0.000 -5.414 0.000 7.699" Properties=species:S:1:pos:R:3 pbc="T T T"
Ce -0.015 0.267 1.935
Ce -2.722 2.490 5.784
Ce 2.735 3.025 1.915
Ce 0.028 5.247 5.764
Mn 2.713 0.000 0.000
Mn 0.006 2.757 3.850
Re -2.707 0.000 3.850
Re 0.000 2.757 0.000
N -4.330 1.094 7.400
N -1.623 1.663 3.550
N -3.767 3.865 7.410
N -1.060 4.408 3.560
N -2.304 0.093 5.791
N 0.403 2.665 1.941
N -0.390 2.850 5.758
N 2.317 5.422 1.909
N 1.073 1.107 4.139
N 3.780 1.650 0.289
N 1.636 3.852 4.149
N 4.343 4.421 0.300
```

Main lines, most intense first (2θ = 10–90°):
- 2θ = 32.82°, 2.729 Å, I = 100.0
- 2θ = 33.01°, 2.713 Å, I = 26.2
- 2θ = 32.47°, 2.757 Å, I = 23.1
- 2θ = 46.98°, 1.934 Å, I = 21.2
- 2θ = 58.79°, 1.571 Å, I = 16.2
- 2θ = 58.88°, 1.569 Å, I = 16.0
- 2θ = 58.15°, 1.586 Å, I = 13.7
- 2θ = 47.22°, 1.925 Å, I = 12.9
- 2θ = 68.82°, 1.364 Å, I = 12.5
- 2θ = 19.80°, 4.483 Å, I = 12.2